For Li2VFeP4O14, a crystal structure in Alexandria, relaxed with GGA+U gives the computed PXRD pattern in this record (Cu Kα (weighted mean of Kα1 and Kα2)).

Structural model:
```
data_Li2VFeP4O14
_chemical_formula_sum 'Li4 V2 Fe2 P8 O28'
_space_group_name_H-M_alt 'P 1 21 1'
_space_group_IT_number 4
_cell_length_a 7.034
_cell_length_b 8.278
_cell_length_c 9.800
_cell_angle_alpha 90.00
_cell_angle_beta 108.47
_cell_angle_gamma 90.00
loop_
_space_group_symop_operation_xyz
'x,y,z'
'-x,y+1/2,-z'
loop_
_atom_site_label
_atom_site_type_symbol
_atom_site_fract_x
_atom_site_fract_y
_atom_site_fract_z
Li1 Li 0.166 0.000 0.089
Li2 Li 0.168 0.000 0.587
V1 V 0.228 0.642 0.607
Fe1 Fe 0.233 0.641 0.107
P1 P 0.024 0.321 0.198
P2 P 0.025 0.321 0.700
P3 P 0.413 0.427 0.390
P4 P 0.417 0.427 0.890
O1 O 0.009 0.485 0.624
O2 O 0.011 0.485 0.122
O3 O 0.014 0.681 0.407
O4 O 0.017 0.680 0.907
O5 O 0.102 0.818 0.199
O6 O 0.103 0.819 0.700
O7 O 0.255 0.294 0.296
O8 O 0.257 0.295 0.797
O9 O 0.349 0.467 0.521
O10 O 0.358 0.470 0.022
O11 O 0.382 0.837 0.070
O12 O 0.385 0.841 0.569
O13 O 0.413 0.575 0.297
O14 O 0.420 0.574 0.797
```

The 8 most intense peaks (2θ = 15–90°), by angle:
2theta, Rel. int., hkl
17.07, 100, 1 1 0
21.93, 22, 0 1 2
22.30, 48, 1 1 -2
25.32, 18, 1 2 0
26.62, 22, 1 0 2
28.79, 28, 1 1 2
29.17, 55, 1 2 -2
29.61, 27, 2 1 -2

For LiVFeP4O14, a crystal structure in Alexandria, relaxed with GGA+U gives the computed PXRD pattern in this record (Cu Kα (weighted mean of Kα1 and Kα2)).

Structural model:
```
data_LiVFeP4O14
_chemical_formula_sum 'Li1 V1 Fe1 P4 O14'
_space_group_name_H-M_alt 'P 1'
_space_group_IT_number 1
_cell_length_a 4.897
_cell_length_b 6.992
_cell_length_c 8.141
_cell_angle_alpha 90.01
_cell_angle_beta 90.72
_cell_angle_gamma 107.48
loop_
_space_group_symop_operation_xyz
'x,y,z'
loop_
_atom_site_label
_atom_site_type_symbol
_atom_site_fract_x
_atom_site_fract_y
_atom_site_fract_z
Li1 Li 0.000 0.000 0.000
V1 V 0.044 0.049 0.371
Fe1 Fe 0.620 0.592 0.859
P1 P 0.075 0.419 0.090
P2 P 0.228 0.841 0.683
P3 P 0.441 0.808 0.186
P4 P 0.615 0.232 0.585
O1 O 0.000 0.820 0.814
O2 O 0.101 0.843 0.509
O3 O 0.224 0.931 0.189
O4 O 0.263 0.397 0.947
O5 O 0.266 0.579 0.222
O6 O 0.398 0.694 0.694
O7 O 0.420 0.226 0.434
O8 O 0.446 0.065 0.715
O9 O 0.580 0.819 0.018
O10 O 0.661 0.868 0.326
O11 O 0.702 0.426 0.681
O12 O 0.823 0.489 0.039
O13 O 0.884 0.176 0.534
O14 O 0.982 0.218 0.184
```

The 8 most intense peaks (2θ = 15–90°), by angle:
2theta, Rel. int., hkl
17.19, 100, 0 1 -1
22.42, 16, -1 1 1
22.61, 26, 1 -1 1
25.64, 15, 0 1 -2
26.38, 17, 1 1 0
28.93, 14, 1 0 -2
29.40, 26, -1 1 2
29.70, 24, 1 -1 2

For Li3VFeP4O14, a crystal structure in Alexandria, relaxed with GGA+U gives the computed PXRD pattern in this record (Cu Kα (weighted mean of Kα1 and Kα2)).

Structural model:
```
data_Li3VFeP4O14
_chemical_formula_sum 'Li3 V1 Fe1 P4 O14'
_space_group_name_H-M_alt 'P 1'
_space_group_IT_number 1
_cell_length_a 5.015
_cell_length_b 7.071
_cell_length_c 8.336
_cell_angle_alpha 90.30
_cell_angle_beta 90.47
_cell_angle_gamma 108.68
loop_
_space_group_symop_operation_xyz
'x,y,z'
loop_
_atom_site_label
_atom_site_type_symbol
_atom_site_fract_x
_atom_site_fract_y
_atom_site_fract_z
Li1 Li 0.000 0.000 0.000
Li2 Li 0.110 0.433 0.692
Li3 Li 0.655 0.681 0.499
V1 V 0.044 0.063 0.348
Fe1 Fe 0.631 0.614 0.867
P1 P 0.054 0.421 0.068
P2 P 0.226 0.865 0.671
P3 P 0.432 0.816 0.173
P4 P 0.622 0.252 0.559
O1 O 0.033 0.844 0.814
O2 O 0.064 0.857 0.512
O3 O 0.212 0.926 0.180
O4 O 0.215 0.411 0.913
O5 O 0.262 0.581 0.193
O6 O 0.385 0.711 0.667
O7 O 0.433 0.248 0.415
O8 O 0.457 0.085 0.688
O9 O 0.585 0.847 0.014
O10 O 0.635 0.861 0.319
O11 O 0.702 0.451 0.652
O12 O 0.795 0.481 0.038
O13 O 0.902 0.214 0.522
O14 O 0.988 0.222 0.158
```

The 8 most intense peaks (2θ = 15–90°), by angle:
2theta, Rel. int., hkl
16.91, 100, 0 1 -1
17.05, 85, 0 1 1
21.93, 83, 1 -1 1
26.24, 40, 1 1 0
28.29, 32, 1 1 -1
28.71, 72, -1 1 2
28.85, 60, 1 -1 2
29.30, 55, -1 2 1

For Li2VFeP4O14, a crystal structure in Alexandria, relaxed with GGA+U gives the computed PXRD pattern in this record (Cu Kα (weighted mean of Kα1 and Kα2)).

Structural model:
```
data_Li2VFeP4O14
_chemical_formula_sum 'Li4 V2 Fe2 P8 O28'
_space_group_name_H-M_alt 'P 1 21 1'
_space_group_IT_number 4
_cell_length_a 7.187
_cell_length_b 8.279
_cell_length_c 9.766
_cell_angle_alpha 90.00
_cell_angle_beta 111.26
_cell_angle_gamma 90.00
loop_
_space_group_symop_operation_xyz
'x,y,z'
'-x,y+1/2,-z'
loop_
_atom_site_label
_atom_site_type_symbol
_atom_site_fract_x
_atom_site_fract_y
_atom_site_fract_z
Li1 Li 0.076 0.000 0.245
Li2 Li 0.420 0.499 0.254
V1 V 0.470 0.141 0.242
Fe1 Fe 0.026 0.641 0.259
P1 P 0.038 0.323 0.063
P2 P 0.152 0.426 0.568
P3 P 0.347 0.927 0.933
P4 P 0.461 0.819 0.437
O1 O 0.001 0.320 0.899
O2 O 0.012 0.336 0.629
O3 O 0.049 0.469 0.406
O4 O 0.121 0.486 0.132
O5 O 0.165 0.182 0.150
O6 O 0.174 0.794 0.918
O7 O 0.244 0.573 0.663
O8 O 0.253 0.075 0.840
O9 O 0.326 0.294 0.581
O10 O 0.335 0.678 0.352
O11 O 0.377 0.983 0.369
O12 O 0.445 0.967 0.096
O13 O 0.489 0.841 0.873
O14 O 0.500 0.317 0.398
```

The 8 most intense peaks (2θ = 15–90°), by angle:
2theta, Rel. int., hkl
17.07, 100, 1 1 -1
21.93, 22, 1 1 1
22.29, 48, 0 1 2
25.32, 18, 1 2 -1
26.62, 22, 2 0 0
28.79, 28, 2 1 0
29.16, 55, 0 2 2
29.61, 27, 1 1 -3

For Li2VFeP4O14, a crystal structure in Alexandria, relaxed with GGA+U gives the computed PXRD pattern in this record (Cu Kα (weighted mean of Kα1 and Kα2)).

Structural model:
```
data_Li2VFeP4O14
_chemical_formula_sum 'Li2 V1 Fe1 P4 O14'
_space_group_name_H-M_alt 'P 1'
_space_group_IT_number 1
_cell_length_a 4.902
_cell_length_b 7.033
_cell_length_c 8.279
_cell_angle_alpha 89.64
_cell_angle_beta 89.75
_cell_angle_gamma 71.54
loop_
_space_group_symop_operation_xyz
'x,y,z'
loop_
_atom_site_label
_atom_site_type_symbol
_atom_site_fract_x
_atom_site_fract_y
_atom_site_fract_z
Li1 Li 0.000 0.000 0.000
Li2 Li 0.353 0.666 0.500
V1 V 0.963 0.062 0.641
Fe1 Fe 0.390 0.601 0.142
P1 P 0.398 0.248 0.426
P2 P 0.575 0.808 0.822
P3 P 0.777 0.858 0.321
P4 P 0.959 0.418 0.928
O1 O 0.036 0.217 0.842
O2 O 0.137 0.185 0.468
O3 O 0.222 0.478 0.971
O4 O 0.314 0.451 0.337
O5 O 0.361 0.848 0.682
O6 O 0.423 0.822 0.987
O7 O 0.573 0.732 0.319
O8 O 0.583 0.253 0.573
O9 O 0.587 0.090 0.294
O10 O 0.769 0.420 0.076
O11 O 0.771 0.578 0.796
O12 O 0.775 0.937 0.818
O13 O 0.930 0.842 0.484
O14 O 0.990 0.816 0.179
```

The 8 most intense peaks (2θ = 15–90°), by angle:
2theta, Rel. int., hkl
17.07, 100, 0 1 1
21.92, 22, 1 0 -1
22.24, 26, 1 1 1
22.35, 22, 1 1 -1
26.61, 22, 1 -1 0
28.77, 27, -1 1 1
29.08, 28, 1 1 2
29.25, 27, 1 1 -2